No. 1
Starting from a DFT-relaxed cell (GGA-PBE, Alexandria), the powder X-ray diffraction pattern of PmNd4Ho4 was calculated for Cu Kα, 1.54184 Å.
No peak broadening, texture or thermal motion is included.

Structural model:
Cell lengths 10.830, 10.830, 5.099 Å; angles 90.00, 90.00, 90.00 degrees
Space group I4/mmm (No. 139)
One atom of each set of equivalent atoms:
Pm: 0.000 0.000 0.000 (multiplicity 2)
Nd: 0.167 0.167 0.500 (multiplicity 8)
Ho: 0.000 0.336 0.000 (multiplicity 8)

Top 10 peaks for 15 to 90 degrees two-theta, sorted by position:
Position (°2θ)	Rel. int.
30.34	100
35.17	51
50.59	36
60.14	43
63.11	12
74.32	4
74.43	2
82.37	18
84.97	11
85.07	5

No. 2
Starting from a DFT-relaxed cell (GGA-PBE, Alexandria), the powder X-ray diffraction pattern of PmNd2Ho4 was calculated for Cu Kα, 1.54184 Å.
No peak broadening, texture or thermal motion is included.

Structural model:
Cell lengths 16.873, 3.551, 8.827 Å; angles 90.00, 119.87, 90.00 degrees
Space group C2/m (No. 12)
One atom of each set of equivalent atoms:
Pm: 0.000 0.000 0.000 (multiplicity 2)
Nd: 0.069 0.000 0.427 (multiplicity 4)
Ho: 0.147 0.500 0.845 (multiplicity 4)
Ho: 0.207 0.500 0.293 (multiplicity 4)

Top 10 peaks for 15 to 90 degrees two-theta, sorted by position:
Position (°2θ)	Rel. int.
29.87	38
31.17	100
31.31	51
32.51	44
32.84	44
41.47	15
47.69	20
51.47	13
61.46	29
62.21	15

No. 3
Starting from a DFT-relaxed cell (GGA-PBE, Alexandria), the powder X-ray diffraction pattern of Pm8NdHo3 was calculated for Cu Kα, 1.54184 Å.
No peak broadening, texture or thermal motion is included.

Structural model:
Cell lengths 6.607, 11.347, 11.597 Å; angles 90.00, 90.00, 90.00 degrees
Space group I222 (No. 23)
One atom of each set of equivalent atoms:
Pm: 0.000 0.165 0.249 (multiplicity 8)
Pm: 0.241 0.261 0.502 (multiplicity 8)
Nd: 0.000 0.000 0.500 (multiplicity 2)
Ho: 0.000 0.000 0.000 (multiplicity 2)
Ho: 0.000 0.500 0.261 (multiplicity 4)

Top 10 peaks for 15 to 90 degrees two-theta, sorted by position:
Position (°2θ)	Rel. int.
21.87	20
30.84	44
31.16	38
31.32	100
35.04	28
44.54	17
50.47	20
55.11	22
56.03	16
65.34	22

Question: Number 2 is which compound?
Answer: PmNd2Ho4